Calculated powder XRD pattern
Compound: Mg14VSnO16
Radiation: Cu Ka
Structure: DFT lattice parameters and positions (GGA+U)
Intensities are scaled so that the largest is 100.

Most intense lines, 2θ = 10–80°, most intense first:
- 2θ = 41.34°, I 100
- 2θ = 60.14°, I 57
- 2θ = 41.66°, I 48
- 2θ = 35.69°, I 35
- 2θ = 10.18°, I 33
- 2θ = 59.90°, I 29
- 2θ = 75.61°, I 26
- 2θ = 22.79°, I 23
- 2θ = 20.33°, I 15
- 2θ = 71.72°, I 13
- 2θ = 29.02°, I 13
- 2θ = 30.73°, I 13

Cell lengths 4.367, 8.671, 8.736 Å; angles 90.00, 90.00, 90.00 degrees
Space group Pmmm (No. 47)
Inequivalent atoms, fractional coordinates:
Mg1 0.000 0.000 0.000 (multiplicity 1)
Mg2 0.000 0.000 0.500 (multiplicity 1)
Mg3 0.000 0.245 0.246 (multiplicity 4)
Mg4 0.500 0.000 0.248 (multiplicity 2)
Mg5 0.500 0.241 0.500 (multiplicity 2)
Mg6 0.500 0.248 0.000 (multiplicity 2)
Mg7 0.500 0.500 0.242 (multiplicity 2)
V1 0.000 0.500 0.000 (multiplicity 1)
Sn1 0.000 0.500 0.500 (multiplicity 1)
O1 0.000 0.000 0.245 (multiplicity 2)
O2 0.000 0.227 0.500 (multiplicity 2)
O3 0.000 0.243 0.000 (multiplicity 2)
O4 0.000 0.500 0.236 (multiplicity 2)
O5 0.500 0.000 0.000 (multiplicity 1)
O6 0.500 0.000 0.500 (multiplicity 1)
O7 0.500 0.250 0.249 (multiplicity 4)
O8 0.500 0.500 0.000 (multiplicity 1)
O9 0.500 0.500 0.500 (multiplicity 1)

=====

Calculated powder XRD pattern
Compound: MgV3SnO8
Radiation: Cu Ka
Structure: DFT lattice parameters and positions (GGA+U)
Intensities are scaled so that the largest is 100.

Most intense lines, 2θ = 10–80°, most intense first:
- 2θ = 24.63°, I 100
- 2θ = 29.15°, I 88
- 2θ = 27.34°, I 77
- 2θ = 14.43°, I 56
- 2θ = 56.23°, I 54
- 2θ = 48.12°, I 52
- 2θ = 27.43°, I 49
- 2θ = 13.58°, I 47
- 2θ = 32.24°, I 47
- 2θ = 28.75°, I 44
- 2θ = 32.74°, I 44
- 2θ = 42.75°, I 42

Cell lengths 12.711, 3.782, 6.755 Å; angles 90.00, 105.09, 90.00 degrees
Space group Cm (No. 8)
Inequivalent atoms, fractional coordinates:
Mg1 0.000 0.000 0.000 (multiplicity 2)
V1 0.074 0.500 0.655 (multiplicity 2)
V2 0.179 0.500 0.263 (multiplicity 2)
V3 0.376 0.000 0.287 (multiplicity 2)
Sn1 0.280 0.000 0.706 (multiplicity 2)
O1 0.040 0.500 0.355 (multiplicity 2)
O2 0.096 0.500 0.006 (multiplicity 2)
O3 0.117 0.000 0.735 (multiplicity 2)
O4 0.210 0.000 0.320 (multiplicity 2)
O5 0.234 0.500 0.615 (multiplicity 2)
O6 0.329 0.500 0.243 (multiplicity 2)
O7 0.388 0.000 0.983 (multiplicity 2)
O8 0.413 0.000 0.595 (multiplicity 2)

=====

Calculated powder XRD pattern
Compound: Mg2SnWO6
Radiation: Cu Ka
Structure: DFT lattice parameters and positions (GGA+U)
Intensities are scaled so that the largest is 100.

Most intense lines, 2θ = 10–80°, most intense first:
- 2θ = 22.56°, I 100
- 2θ = 31.80°, I 75
- 2θ = 31.54°, I 72
- 2θ = 32.12°, I 72
- 2θ = 21.93°, I 58
- 2θ = 46.07°, I 29
- 2θ = 51.89°, I 25
- 2θ = 39.23°, I 25
- 2θ = 57.24°, I 20
- 2θ = 76.43°, I 20
- 2θ = 19.33°, I 19
- 2θ = 56.90°, I 19

Cell lengths 5.573, 5.573, 9.784 Å; angles 90.00, 124.05, 90.00 degrees
Space group P2_1/c (No. 14)
Inequivalent atoms, fractional coordinates:
Mg1 0.189 0.016 0.223 (multiplicity 4)
Sn1 0.000 0.000 0.500 (multiplicity 2)
W1 0.500 0.000 0.000 (multiplicity 2)
O1 0.162 0.135 0.787 (multiplicity 4)
O2 0.227 0.629 0.544 (multiplicity 4)
O3 0.495 0.705 0.894 (multiplicity 4)

=====

Calculated powder XRD pattern
Compound: Mg2SnWO6
Radiation: Cu Ka
Structure: DFT lattice parameters and positions (GGA+U)
Intensities are scaled so that the largest is 100.

Most intense lines, 2θ = 10–80°, most intense first:
- 2θ = 21.35°, I 100
- 2θ = 21.57°, I 91
- 2θ = 22.17°, I 82
- 2θ = 32.28°, I 77
- 2θ = 17.08°, I 70
- 2θ = 29.64°, I 55
- 2θ = 29.89°, I 46
- 2θ = 34.43°, I 46
- 2θ = 26.16°, I 33
- 2θ = 32.94°, I 31
- 2θ = 43.25°, I 28
- 2θ = 52.23°, I 25

Cell lengths 5.242, 5.706, 5.716 Å; angles 73.24, 66.73, 67.51 degrees
Space group P1 (No. 1)
Inequivalent atoms, fractional coordinates:
Mg1 0.000 0.000 0.000 (multiplicity 1)
Mg2 0.474 0.592 0.635 (multiplicity 1)
Sn1 0.260 0.179 0.402 (multiplicity 1)
W1 0.741 0.590 0.023 (multiplicity 1)
O1 0.029 0.738 0.785 (multiplicity 1)
O2 0.063 0.281 0.115 (multiplicity 1)
O3 0.437 0.814 0.896 (multiplicity 1)
O4 0.470 0.451 0.350 (multiplicity 1)
O5 0.699 0.810 0.265 (multiplicity 1)
O6 0.756 0.345 0.830 (multiplicity 1)

=====

Calculated powder XRD pattern
Compound: SrMg14VO16
Radiation: Cu Ka
Structure: DFT lattice parameters and positions (GGA+U)
Intensities are scaled so that the largest is 100.

Most intense lines, 2θ = 10–80°, most intense first:
- 2θ = 41.06°, I 100
- 2θ = 41.38°, I 96
- 2θ = 41.80°, I 93
- 2θ = 35.66°, I 58
- 2θ = 59.72°, I 56
- 2θ = 60.03°, I 55
- 2θ = 60.28°, I 54
- 2θ = 75.53°, I 50
- 2θ = 10.22°, I 30
- 2θ = 30.67°, I 14
- 2θ = 22.69°, I 13
- 2θ = 72.33°, I 12

Cell lengths 4.396, 8.645, 8.727 Å; angles 90.00, 90.00, 90.00 degrees
Space group Pmmm (No. 47)
Inequivalent atoms, fractional coordinates:
Sr1 0.000 0.000 0.000 (multiplicity 1)
Mg1 0.000 0.256 0.255 (multiplicity 4)
Mg2 0.000 0.500 0.000 (multiplicity 1)
Mg3 0.000 0.500 0.500 (multiplicity 1)
Mg4 0.500 0.000 0.258 (multiplicity 2)
Mg5 0.500 0.252 0.500 (multiplicity 2)
Mg6 0.500 0.259 0.000 (multiplicity 2)
Mg7 0.500 0.500 0.251 (multiplicity 2)
V1 0.000 0.000 0.500 (multiplicity 1)
O1 0.000 0.000 0.265 (multiplicity 2)
O2 0.000 0.257 0.500 (multiplicity 2)
O3 0.000 0.272 0.000 (multiplicity 2)
O4 0.000 0.500 0.255 (multiplicity 2)
O5 0.500 0.000 0.000 (multiplicity 1)
O6 0.500 0.000 0.500 (multiplicity 1)
O7 0.500 0.250 0.251 (multiplicity 4)
O8 0.500 0.500 0.000 (multiplicity 1)
O9 0.500 0.500 0.500 (multiplicity 1)

=====

Calculated powder XRD pattern
Compound: Sr3MgV2O7
Radiation: Cu Ka
Structure: DFT lattice parameters and positions (GGA+U)
Intensities are scaled so that the largest is 100.

Most intense lines, 2θ = 10–80°, most intense first:
- 2θ = 29.36°, I 100
- 2θ = 32.01°, I 70
- 2θ = 36.68°, I 67
- 2θ = 28.68°, I 64
- 2θ = 39.99°, I 49
- 2θ = 49.47°, I 41
- 2θ = 46.82°, I 38
- 2θ = 60.90°, I 31
- 2θ = 54.62°, I 24
- 2θ = 55.83°, I 20
- 2θ = 68.32°, I 19
- 2θ = 44.99°, I 18

Cell lengths 3.881, 4.900, 20.150 Å; angles 90.00, 90.00, 90.00 degrees
Space group Immm (No. 71)
Inequivalent atoms, fractional coordinates:
Sr1 0.000 0.000 0.000 (multiplicity 2)
Sr2 0.000 0.000 0.180 (multiplicity 4)
Mg1 0.000 0.500 0.000 (multiplicity 2)
V1 0.000 0.000 0.391 (multiplicity 4)
O1 0.000 0.000 0.299 (multiplicity 4)
O2 0.000 0.000 0.500 (multiplicity 2)
O3 0.000 0.500 0.094 (multiplicity 4)
O4 0.000 0.500 0.405 (multiplicity 4)